For BaSm2Gd, DFT lattice parameters and positions (PBE) gives the simulated powder diffractogram in this record (copper Kα).
Intensities are scaled so that the largest is 100.

Largest 12 diffraction maxima, by angle, 15 to 90 degrees two-theta:
| 2θ (°) | Rel. int. | index |
| --- | --- | --- |
| 28.92 | 100 | 1 0 2 |
| 33.11 | 13 | 0 0 4 |
| 33.71 | 36 | 1 1 0 |
| 34.45 | 8 | 1 0 3 |
| 47.97 | 19 | 1 1 4 |
| 48.42 | 13 | 2 0 0 |
| 56.59 | 7 | 1 0 6 |
| 57.39 | 29 | 2 1 2 |
| 59.91 | 11 | 2 0 4 |
| 70.93 | 7 | 2 2 0 |
| 78.31 | 6 | 3 0 2 |
| 80.84 | 6 | 3 1 0 |

```
data_BaSm2Gd
_chemical_formula_sum 'Ba1 Sm2 Gd1'
_symmetry_space_group_name_H-M 'P 4/m m m'
_symmetry_Int_Tables_number 123
_symmetry_space_group_name_Hall '-P 4 2'
_cell_length_a 3.7598
_cell_length_b 3.7598
_cell_length_c 10.8227
_cell_angle_alpha 90.00
_cell_angle_beta 90.00
_cell_angle_gamma 90.00
loop_
_atom_site_label
_atom_site_type_symbol
_atom_site_fract_x
_atom_site_fract_y
_atom_site_fract_z
_atom_site_occupancy
Ba1 Ba 0.0000 0.0000 0.0000 1
Sm1 Sm 0.5000 0.5000 0.2822 1
Gd1 Gd 0.0000 0.0000 0.5000 1
```